No. 1
The following is a calculated X-ray diffraction stick pattern of FeNCl3. It was derived from a crystal structure in the Materials Project, relaxed with GGA-PBE, using Cu Kα.

Largest 10 diffraction maxima, in order of falling intensity, 15° ≤ 2θ ≤ 90°:
| two_theta | intensity |
| --- | --- |
| 34.3 | 100 |
| 44.7 | 59 |
| 41.8 | 33 |
| 53.6 | 32 |
| 52.4 | 30 |
| 26.0 | 18 |
| 58.7 | 16 |
| 69.1 | 16 |
| 57.2 | 15 |
| 55.9 | 12 |

Structural model:
Unit cell a=6.844 b=6.844 c=5.564 alpha=90.00 beta=90.00 gamma=120.00
Sites, in units of the cell vectors:
Fe (0.000, 0.000, 0.000)
Fe (0.000, 0.000, 0.500)
N (0.333, 0.667, 0.250)
N (0.667, 0.333, 0.750)
Cl (0.149, 0.297, 0.750)
Cl (0.149, 0.851, 0.750)
Cl (0.297, 0.149, 0.250)
Cl (0.703, 0.851, 0.750)
Cl (0.851, 0.149, 0.250)
Cl (0.851, 0.703, 0.250)



No. 2
The following is a calculated X-ray diffraction stick pattern of FeNCl3. It was derived from a crystal structure in the Materials Project, relaxed with GGA-PBE, using Cu Kα.

Largest 10 diffraction maxima, in order of falling intensity, 15° ≤ 2θ ≤ 90°:
| two_theta | intensity |
| --- | --- |
| 29.2 | 100 |
| 46.1 | 81 |
| 21.1 | 68 |
| 40.5 | 55 |
| 40.4 | 46 |
| 54.7 | 40 |
| 49.6 | 32 |
| 38.5 | 25 |
| 36.2 | 25 |
| 42.9 | 24 |

Structural model:
Unit cell a=8.441 b=8.441 c=5.609 alpha=90.00 beta=90.00 gamma=120.00
Sites, in units of the cell vectors:
Fe (0.000, 0.000, 0.000)
Fe (0.000, 0.000, 0.500)
N (0.333, 0.667, 0.303)
N (0.667, 0.333, 0.803)
Cl (0.121, 0.243, 0.751)
Cl (0.121, 0.879, 0.751)
Cl (0.243, 0.121, 0.251)
Cl (0.757, 0.879, 0.751)
Cl (0.879, 0.121, 0.251)
Cl (0.879, 0.757, 0.251)



No. 3
The following is a calculated X-ray diffraction stick pattern of FeS4N4Cl5. It was derived from a crystal structure in the Materials Project, relaxed with GGA-PBE, using Cu Kα.

Largest 10 diffraction maxima, in order of falling intensity, 15° ≤ 2θ ≤ 90°:
| two_theta | intensity |
| --- | --- |
| 29.3 | 100 |
| 29.0 | 97 |
| 28.9 | 91 |
| 18.4 | 87 |
| 17.6 | 60 |
| 19.5 | 53 |
| 25.0 | 51 |
| 28.5 | 28 |
| 39.6 | 27 |
| 43.8 | 26 |

Structural model:
Unit cell a=7.371 b=9.463 c=10.401 alpha=76.78 beta=83.66 gamma=79.75
Sites, in units of the cell vectors:
Fe (0.049, 0.310, 0.283)
Fe (0.951, 0.690, 0.717)
S (0.077, 0.898, 0.184)
S (0.332, 0.699, 0.031)
S (0.378, 0.835, 0.366)
S (0.470, 0.540, 0.298)
S (0.530, 0.460, 0.702)
S (0.622, 0.165, 0.634)
S (0.668, 0.301, 0.969)
S (0.923, 0.102, 0.816)
N (0.177, 0.824, 0.072)
N (0.178, 0.889, 0.312)
N (0.433, 0.586, 0.149)
N (0.435, 0.661, 0.386)
N (0.565, 0.339, 0.614)
N (0.567, 0.414, 0.851)
N (0.822, 0.111, 0.688)
N (0.823, 0.176, 0.928)
Cl (0.034, 0.458, 0.699)
Cl (0.184, 0.297, 0.085)
Cl (0.202, 0.793, 0.692)
Cl (0.243, 0.197, 0.435)
Cl (0.440, 0.084, 0.807)
Cl (0.560, 0.916, 0.193)
Cl (0.757, 0.803, 0.565)
Cl (0.798, 0.207, 0.308)
Cl (0.816, 0.703, 0.915)
Cl (0.966, 0.542, 0.301)



No. 4
The following is a calculated X-ray diffraction stick pattern of FeS3N2Cl5. It was derived from a crystal structure in the Materials Project, relaxed with GGA-PBE, using Cu Kα.

Largest 10 diffraction maxima, in order of falling intensity, 15° ≤ 2θ ≤ 90°:
| two_theta | intensity |
| --- | --- |
| 25.7 | 100 |
| 18.5 | 82 |
| 17.2 | 54 |
| 18.0 | 53 |
| 15.1 | 52 |
| 24.4 | 44 |
| 30.2 | 41 |
| 29.9 | 27 |
| 29.2 | 27 |
| 31.7 | 23 |

Structural model:
Unit cell a=9.577 b=10.897 c=14.915 alpha=90.00 beta=128.25 gamma=90.00
Sites, in units of the cell vectors:
Fe (0.218, 0.134, 0.191)
Fe (0.218, 0.366, 0.691)
Fe (0.782, 0.634, 0.309)
Fe (0.782, 0.866, 0.809)
S (0.156, 0.748, 0.195)
S (0.156, 0.752, 0.695)
S (0.324, 0.531, 0.309)
S (0.324, 0.969, 0.809)
S (0.332, 0.735, 0.888)
S (0.332, 0.765, 0.388)
S (0.668, 0.235, 0.612)
S (0.668, 0.265, 0.112)
S (0.676, 0.031, 0.191)
S (0.676, 0.469, 0.691)
S (0.844, 0.248, 0.305)
S (0.844, 0.252, 0.805)
N (0.203, 0.608, 0.196)
N (0.203, 0.892, 0.696)
N (0.370, 0.623, 0.410)
N (0.370, 0.877, 0.910)
N (0.630, 0.123, 0.090)
N (0.630, 0.377, 0.590)
N (0.797, 0.108, 0.304)
N (0.797, 0.392, 0.804)
Cl (0.035, 0.210, 0.598)
Cl (0.035, 0.290, 0.098)
Cl (0.110, 0.012, 0.256)
Cl (0.110, 0.488, 0.756)
Cl (0.253, 0.028, 0.081)
Cl (0.253, 0.472, 0.581)
Cl (0.444, 0.148, 0.580)
Cl (0.444, 0.352, 0.080)
Cl (0.479, 0.206, 0.337)
Cl (0.479, 0.294, 0.837)
Cl (0.521, 0.706, 0.163)
Cl (0.521, 0.794, 0.663)
Cl (0.556, 0.648, 0.920)
Cl (0.556, 0.852, 0.420)
Cl (0.747, 0.528, 0.419)
Cl (0.747, 0.972, 0.919)
Cl (0.890, 0.512, 0.244)
Cl (0.890, 0.988, 0.744)
Cl (0.965, 0.710, 0.902)
Cl (0.965, 0.790, 0.402)